# LiTiFeO4
Calculated PXRD pattern, Cu Ka. Input: a PBE+U-relaxed structure.

Structure:
Cell lengths 9.0342, 2.9532, 10.9414 Å; angles 90.00, 90.00, 90.00 degrees
Fractional coordinates of all 28 atoms:
Li (0.2469, 0.2500, 0.1055)
Li (0.2531, 0.7500, 0.6055)
Li (0.7469, 0.2500, 0.3945)
Li (0.7531, 0.7500, 0.8945)
Ti (0.0811, 0.7500, 0.3903)
Ti (0.4189, 0.2500, 0.8903)
Ti (0.5811, 0.7500, 0.1097)
Ti (0.9189, 0.2500, 0.6097)
Fe (0.0637, 0.7500, 0.8892)
Fe (0.4363, 0.2500, 0.3892)
Fe (0.5637, 0.7500, 0.6108)
Fe (0.9363, 0.2500, 0.1108)
O (0.0133, 0.2500, 0.2906)
O (0.0859, 0.7500, 0.0764)
O (0.1159, 0.2500, 0.5161)
O (0.2135, 0.2500, 0.8553)
O (0.2865, 0.7500, 0.3553)
O (0.3841, 0.7500, 0.0161)
O (0.4141, 0.2500, 0.5764)
O (0.4867, 0.7500, 0.7906)
O (0.5133, 0.2500, 0.2094)
O (0.5859, 0.7500, 0.4236)
O (0.6159, 0.2500, 0.9839)
O (0.7135, 0.2500, 0.6447)
O (0.7865, 0.7500, 0.1447)
O (0.8841, 0.7500, 0.4839)
O (0.9141, 0.2500, 0.9236)
O (0.9867, 0.7500, 0.7094)

Peak list (6 most intense, 2θ from 10° to 90°, low angle first)
2θ/deg  intensity  index
18.96  95  1 0 2
19.65  100  2 0 0
32.74  50  0 0 4
33.98  56  3 0 2
35.96  83  1 1 2
49.71  47  2 1 4